Entry 1:
Ce4AuC: simulated powder XRD pattern (Cu Kα, 1.54184 Å), based on a cell relaxed with PBE.
Lines closer than 0.1° are merged.

Cell and atoms:
abc: 5.4700 6.2803 8.0616
angles: 90.00 98.87 90.00
Space group P2_1/m (No. 11)
Unique sites:
Ce 0.1770 0.0256 0.2040
Ce 0.2614 0.7500 0.5172
Ce 0.3068 0.2500 0.7559
Au 0.3442 0.7500 0.8966
C 0.2433 0.2500 0.4559

Main lines, sorted by position (10 to 90 degrees two-theta):
2θ/deg  d [Å]  I/Imax  hkl
29.39  3.039  258  1 1 -2
32.99  2.715  261  1 2 0
33.15  2.702  962  2 0 0
33.33  2.688  319  2 0 -1
33.76  2.655  292  0 0 3
34.05  2.633  1000  1 2 -1
35.76  2.511  326  1 2 1
36.42  2.467  226  0 2 2
36.74  2.446  461  2 0 1
38.18  2.357  204  1 1 -3
41.69  2.167  244  1 2 2
59.12  1.563  221  3 2 0



Entry 2:
Ce2ScAuC: simulated powder XRD pattern (Cu Kα, 1.54184 Å), based on a cell relaxed with PBE.
Lines closer than 0.1° are merged.

Cell and atoms:
abc: 4.9402 4.9402 4.5046
angles: 90.00 90.00 90.00
Space group P4/mmm (No. 123)
Unique sites:
Ce 0.0000 0.5000 0.0000
Sc 0.0000 0.0000 0.5000
Au 0.5000 0.5000 0.5000
C 0.0000 0.0000 0.0000

Main lines, sorted by position (10 to 90 degrees two-theta):
2θ/deg  d [Å]  I/Imax  hkl
17.96  4.940  146  1 0 0
26.78  3.329  166  1 0 1
32.43  2.760  1000  1 1 1
36.37  2.470  399  2 0 0
40.03  2.252  153  0 0 2
45.74  1.984  81  2 1 1
52.38  1.747  139  2 2 0
55.19  1.664  237  2 0 2
62.97  1.476  298  3 1 1
67.93  1.380  245  2 2 2
86.29  1.127  64  3 3 1
88.51  1.105  65  4 2 0



Entry 3:
H8AuC2S2N4Cl: simulated powder XRD pattern (Cu Kα, 1.54184 Å), based on a cell relaxed with PBE.
Lines closer than 0.1° are merged.

Cell and atoms:
abc: 8.8024 15.0569 8.2877
angles: 90.00 110.89 90.00
Space group C2/c (No. 15)
Unique sites:
H 0.1009 0.0897 0.0409
H 0.1340 0.2456 0.0794
H 0.1658 0.0234 0.2280
H 0.1881 0.2176 0.7593
Au 0.0000 0.5000 0.0000
C 0.2461 0.3489 0.7406
S 0.1085 0.3583 0.5308
N 0.1664 0.0833 0.1709
N 0.2316 0.2318 0.1882
Cl 0.0000 0.1072 0.7500

Main lines, sorted by position (10 to 90 degrees two-theta):
2θ/deg  d [Å]  I/Imax  hkl
11.75  7.528  436  0 2 0
12.26  7.218  1000  1 1 0
20.73  4.284  256  1 3 0
22.41  3.968  519  1 1 -2
23.71  3.753  204  2 2 -1
24.67  3.609  344  2 2 0
25.36  3.512  247  2 0 -2
25.88  3.443  214  0 2 2
28.04  3.182  196  2 2 -2
29.39  3.039  308  1 1 2
33.19  2.699  316  3 1 -2
37.36  2.407  199  3 3 0



Entry 4:
AuCClO: simulated powder XRD pattern (Cu Kα, 1.54184 Å), based on a cell relaxed with PBE.
Lines closer than 0.1° are merged.

Cell and atoms:
abc: 4.8802 17.0242 5.1969
angles: 90.00 90.00 90.00
Space group Cmcm (No. 63)
Unique sites:
Au 0.0000 0.2375 0.2500
C 0.0000 0.1251 0.2500
Cl 0.0000 0.3708 0.2500
O 0.0000 0.0578 0.2500

Main lines, sorted by position (10 to 90 degrees two-theta):
2θ/deg  d [Å]  I/Imax  hkl
10.39  8.512  1000  0 2 0
20.87  4.256  125  0 4 0
25.58  3.482  931  1 1 1
29.64  3.014  236  1 3 1
34.52  2.598  129  0 0 2
36.12  2.487  170  0 2 2
36.53  2.460  175  1 5 1
36.83  2.440  108  2 0 0
45.16  2.008  126  1 7 1
52.54  1.742  118  2 2 2
55.00  1.670  105  1 9 1
56.64  1.625  100  1 1 3



Entry 5:
Pm3AuCCl: simulated powder XRD pattern (Cu Kα, 1.54184 Å), based on a cell relaxed with PBE.
Lines closer than 0.1° are merged.

Cell and atoms:
abc: 7.4879 3.8952 9.8815
angles: 90.00 93.44 90.00
Space group P2_1/m (No. 11)
Unique sites:
Pm 0.0640 0.2500 0.1999
Pm 0.1884 0.7500 0.5109
Pm 0.3704 0.2500 0.7980
Au 0.4275 0.2500 0.3705
C 0.0720 0.2500 0.6831
Cl 0.2583 0.7500 0.0040

Main lines, sorted by position (10 to 90 degrees two-theta):
2θ/deg  d [Å]  I/Imax  hkl
29.22  3.057  129  0 1 2
30.87  2.896  393  2 0 2
31.20  2.867  1000  1 1 -2
33.22  2.697  178  2 1 0
34.87  2.573  274  2 1 1
36.67  2.451  126  3 0 -1
37.23  2.415  125  1 1 -3
43.10  2.099  292  3 1 0
45.80  1.981  188  1 1 4
46.64  1.948  195  0 2 0
54.18  1.693  130  1 1 5
56.98  1.616  136  2 2 2



Entry 6:
CoAu2C: simulated powder XRD pattern (Cu Kα, 1.54184 Å), based on a cell relaxed with PBE.
Lines closer than 0.1° are merged.

Cell and atoms:
abc: 5.0530 5.0530 11.5139
angles: 90.00 90.00 90.00
Space group I-42d (No. 122)
Unique sites:
Co 0.0000 0.0000 0.0000
Au 0.1580 0.2500 0.6250
C 0.0000 0.0000 0.5000

Main lines, sorted by position (10 to 90 degrees two-theta):
2θ/deg  d [Å]  I/Imax  hkl
19.18  4.627  123  1 0 1
29.22  3.056  184  1 0 3
29.42  3.036  1000  1 1 2
31.07  2.878  195  0 0 4
35.53  2.526  112  2 0 0
40.69  2.217  396  2 1 1
46.64  1.947  191  2 1 3
47.91  1.899  279  2 0 4
54.26  1.691  184  1 1 6
57.11  1.613  105  2 1 5
67.30  1.391  100  3 2 1
71.69  1.316  122  3 2 3



Entry 7:
CrPbAu2C: simulated powder XRD pattern (Cu Kα, 1.54184 Å), based on a cell relaxed with PBE.
Lines closer than 0.1° are merged.

Cell and atoms:
abc: 5.3314 5.3314 4.2478
angles: 90.00 90.00 90.00
Space group P4/mmm (No. 123)
Unique sites:
Cr 0.0000 0.0000 0.0000
Pb 0.5000 0.5000 0.5000
Au 0.0000 0.5000 0.5000
C 0.5000 0.5000 0.0000

Main lines, sorted by position (10 to 90 degrees two-theta):
2θ/deg  d [Å]  I/Imax  hkl
16.63  5.331  307  1 0 0
20.91  4.248  1000  0 0 1
26.84  3.322  483  1 0 1
31.73  2.820  342  1 1 1
33.62  2.666  985  2 0 0
39.93  2.258  812  2 0 1
42.57  2.124  258  0 0 2
43.53  2.079  270  2 1 1
48.28  1.885  358  2 2 0
53.16  1.723  364  2 2 1
55.30  1.661  478  2 0 2
66.30  1.410  278  2 2 2



Entry 8:
DySc2AuC: simulated powder XRD pattern (Cu Kα, 1.54184 Å), based on a cell relaxed with PBE.
Lines closer than 0.1° are merged.

Cell and atoms:
abc: 4.4527 4.4527 4.9664
angles: 90.00 90.00 90.00
Space group P4mm (No. 99)
Unique sites:
Dy 0.0000 0.0000 0.0000
Sc 0.0000 0.5000 0.5001
Au 0.5000 0.5000 0.9988
C 0.0000 0.0000 0.4997

Main lines, sorted by position (10 to 90 degrees two-theta):
2θ/deg  d [Å]  I/Imax  hkl
17.86  4.966  379  0 0 1
28.35  3.149  316  1 1 0
33.70  2.659  1000  1 1 1
36.17  2.483  227  0 0 2
40.52  2.226  330  2 0 0
44.60  2.032  167  2 0 1
46.58  1.950  170  1 1 2
55.43  1.657  282  2 0 2
58.64  1.574  109  2 2 0
63.49  1.465  159  1 1 3
69.37  1.355  245  3 1 1
70.89  1.329  169  2 2 2



Entry 9:
Er4SbAuC: simulated powder XRD pattern (Cu Kα, 1.54184 Å), based on a cell relaxed with PBE.
Lines closer than 0.1° are merged.

Cell and atoms:
abc: 6.7583 14.9888 6.7097
angles: 90.00 90.00 90.00
Space group Cmcm (No. 63)
Unique sites:
Er 0.0000 0.0767 0.2500
Er 0.0000 0.4093 0.2500
Er 0.2500 0.2500 0.0000
Sb 0.0000 0.3883 0.7500
Au 0.0000 0.1176 0.7500
C 0.0000 0.2492 0.2500

Main lines, sorted by position (10 to 90 degrees two-theta):
2θ/deg  d [Å]  I/Imax  hkl
28.99  3.080  513  2 2 0
29.16  3.062  505  0 2 2
35.38  2.537  225  1 5 1
35.78  2.509  687  2 4 0
35.94  2.499  1000  0 4 2
37.79  2.381  921  2 0 2
53.14  1.723  419  2 6 2
54.30  1.690  162  4 0 0
54.72  1.677  158  0 0 4
63.13  1.473  208  2 2 4
66.84  1.400  331  4 4 2
67.12  1.395  223  2 4 4



Entry 10:
FePHAuC: simulated powder XRD pattern (Cu Kα, 1.54184 Å), based on a cell relaxed with PBE.
Lines closer than 0.1° are merged.

Cell and atoms:
abc: 2.7161 2.7164 10.2225
angles: 89.61 89.28 60.01
Space group P1 (No. 1)
Unique sites:
Fe 0.0000 0.0000 0.0000
P 0.3256 0.3329 0.1682
H 0.3434 0.3343 0.7800
Au 0.3138 0.3326 0.4945
C 0.3385 0.3338 0.8876

Main lines, sorted by position (10 to 90 degrees two-theta):
2θ/deg  d [Å]  I/Imax  hkl
17.35  5.111  1000  0 0 2
26.15  3.407  204  0 0 3
35.12  2.555  178  0 0 4
38.26  2.352  348  1 0 0
39.25  2.295  417  1 1 1
39.40  2.287  205  1 0 -1
42.12  2.146  99  1 0 2
42.29  2.137  99  0 1 -2
46.69  1.946  197  1 1 3
46.93  1.936  196  0 1 -3
47.19  1.926  195  1 1 -3
69.17  1.358  111  1 2 0



Entry 11:
FePAuC2: simulated powder XRD pattern (Cu Kα, 1.54184 Å), based on a cell relaxed with PBE.
Lines closer than 0.1° are merged.

Cell and atoms:
abc: 2.8686 2.8686 24.4165
angles: 90.00 90.00 120.00
Space group R3m (No. 160, hexagonal axes)
Unique sites:
Fe 0.0000 0.0000 0.0000
P 0.0000 0.0000 0.5284
Au 0.0000 0.0000 0.4250
C 0.0000 0.0000 0.2299
C 0.0000 0.0000 0.2899

Main lines, sorted by position (10 to 90 degrees two-theta):
2θ/deg  d [Å]  I/Imax  hkl
10.87  8.139  1000  0 0 3
21.84  4.069  146  0 0 6
33.02  2.713  224  0 0 9
36.35  2.471  258  1 0 1
36.93  2.434  427  0 1 2
39.15  2.301  181  1 0 4
40.75  2.214  270  0 1 5
44.79  2.023  282  1 0 7
47.17  1.927  116  0 1 8
52.55  1.741  152  1 0 10
65.03  1.434  128  1 1 0
74.89  1.268  125  1 1 9



Entry 12:
FePAuC2: simulated powder XRD pattern (Cu Kα, 1.54184 Å), based on a cell relaxed with PBE.
Lines closer than 0.1° are merged.

Cell and atoms:
abc: 2.9772 2.9772 7.7777
angles: 90.00 90.00 120.00
Space group P3m1 (No. 156)
Unique sites:
Fe 0.0000 0.0000 0.0000
P 0.0000 0.0000 0.7164
Au 0.3333 0.6667 0.3434
C 0.3333 0.6667 0.0743
C 0.3333 0.6667 0.6235

Main lines, sorted by position (10 to 90 degrees two-theta):
2θ/deg  d [Å]  I/Imax  hkl
11.38  7.778  904  0 0 1
22.87  3.889  239  0 0 2
34.60  2.593  312  0 0 3
34.79  2.578  404  1 0 0
36.72  2.447  1000  0 1 1
42.05  2.149  498  1 0 2
49.88  1.828  264  1 0 3
59.55  1.552  310  0 1 4
62.38  1.489  184  1 1 0
70.73  1.332  102  1 0 5
73.34  1.291  203  1 1 3
74.62  1.272  128  2 0 1



Entry 13:
FePAuC2: simulated powder XRD pattern (Cu Kα, 1.54184 Å), based on a cell relaxed with PBE.
Lines closer than 0.1° are merged.

Cell and atoms:
abc: 3.5419 3.6311 5.7575
angles: 79.32 88.64 74.43
Space group P1 (No. 1)
Unique sites:
Fe 0.0000 0.0000 0.0000
P 0.0081 0.8749 0.6370
Au 0.4942 0.9616 0.3575
C 0.1450 0.4855 0.8716
C 0.4691 0.1996 0.9705

Main lines, sorted by position (10 to 90 degrees two-theta):
2θ/deg  d [Å]  I/Imax  hkl
15.67  5.656  721  0 0 1
25.92  3.437  1000  0 1 0
27.76  3.214  473  0 1 1
30.23  2.957  527  1 0 -1
30.99  2.886  490  1 0 1
31.63  2.829  380  0 0 2
33.50  2.675  320  1 1 1
37.31  2.410  429  1 1 -1
40.89  2.207  221  1 0 -2
42.09  2.147  520  1 1 2
47.20  1.926  174  1 -1 1
48.32  1.884  320  0 0 3